K2CeBi2O6: theoretical powder X-ray diffraction pattern (CuKα), based on a structure optimized by DFT (GGA-PBE).

Peak list (10 most intense, 2θ = 5–70°, low angle first)
- hkl 1 1 0, 2θ 16.9, I 29.9
- hkl 1 1 -1, 2θ 19.0, I 78.9
- hkl 2 0 0, 2θ 19.5, I 28.1
- hkl 2 0 1, 2θ 27.2, I 44.2
- hkl 0 2 0, 2θ 27.7, I 56.1
- hkl 1 1 -2, 2θ 27.9, I 100.0
- hkl 3 1 -1, 2θ 30.8, I 94.5
- hkl 1 1 2, 2θ 34.1, I 38.0
- hkl 2 2 1, 2θ 39.2, I 53.8
- hkl 4 2 -3, 2θ 53.4, I 28.0

Cell and atoms:
a b c (Å): 9.7971 6.4315 7.3842
angles (deg): 90.00 111.55 90.00
Space group C2/m (No. 12)
Inequivalent atoms, fractional coordinates:
K (0.1986, 0.0000, 0.1239)
Ce (0.0000, 0.0000, 0.5000)
Bi (0.0885, 0.5000, 0.2494)
O (0.0502, 0.2487, 0.7425)
O (0.2264, 0.0000, 0.4929)

=====

SbPdPt: theoretical powder X-ray diffraction pattern (CuKα), based on a structure optimized by DFT (GGA-PBE).

Peak list (10 most intense, 2θ = 5–70°, low angle first)
- hkl 1 0 1, 2θ 23.7, I 13.3
- hkl 0 1 2, 2θ 24.9, I 30.0
- hkl 0 0 6, 2θ 26.1, I 8.0
- hkl 0 1 5, 2θ 32.0, I 15.4
- hkl 1 0 7, 2θ 38.7, I 100.0
- hkl 1 1 0, 2θ 40.9, I 95.6
- hkl 1 1 6, 2θ 49.1, I 8.5
- hkl 0 2 7, 2θ 57.6, I 31.4
- hkl 1 1 9, 2θ 58.2, I 7.6
- hkl 0 1 14, 2θ 68.6, I 13.4

Cell and atoms:
a b c (Å): 4.4155 4.4155 20.5007
angles (deg): 90.00 90.00 120.00
Space group R-3m (No. 166, hexagonal axes)
Inequivalent atoms, fractional coordinates:
Sb (0.0000, 0.0000, 0.0828)
Pd (0.0000, 0.0000, 0.3652)
Pt (0.0000, 0.0000, 0.2131)

=====

Ac3Bi4Rh4: theoretical powder X-ray diffraction pattern (CuKα), based on a structure optimized by DFT (GGA-PBE).

Peak list (10 most intense, 2θ = 5–70°, low angle first)
- hkl 1 1 2, 2θ 27.8, I 70.7
- hkl 1 1 4, 2θ 30.1, I 89.9
- hkl 1 0 7, 2θ 30.3, I 100.0
- hkl 1 1 6, 2θ 33.6, I 29.2
- hkl 0 1 9, 2θ 35.1, I 47.0
- hkl 0 2 0, 2θ 37.2, I 58.3
- hkl 2 0 0, 2θ 39.7, I 48.9
- hkl 0 1 11, 2θ 41.1, I 31.2
- hkl 1 2 7, 2θ 48.8, I 56.2
- hkl 2 2 0, 2θ 55.6, I 37.3

Cell and atoms:
a b c (Å): 4.5380 4.8298 27.1033
angles (deg): 90.00 90.00 90.00
Space group Immm (No. 71)
Inequivalent atoms, fractional coordinates:
Ac (0.0000, 0.0000, 0.0000)
Ac (0.0000, 0.5000, 0.1531)
Bi (0.0000, 0.0000, 0.4433)
Bi (0.0000, 0.5000, 0.3034)
Rh (0.0000, 0.0000, 0.2521)
Rh (0.0000, 0.5000, 0.4030)

=====

Question: Number 2 is which compound?
Answer: SbPdPt